Entry 1:
Structure and computed PXRD pattern of Ti3GaN (a cell relaxed with PBE; a wavelength of 1.5418 Å).

The 12 most intense peaks (2θ from 10° to 80°), by angle:
d = 2.946 Å, I 4, hkl 1 0 2
d = 2.731 Å, I 3, hkl 1 1 1
d = 2.385 Å, I 100, hkl 1 1 2
d = 2.119 Å, I 22, hkl 0 0 4
d = 2.049 Å, I 20, hkl 2 0 0
d = 2.031 Å, I 19, hkl 0 2 0
d = 1.473 Å, I 12, hkl 2 0 4
d = 1.467 Å, I 12, hkl 0 2 4
d = 1.443 Å, I 11, hkl 2 2 0
d = 1.269 Å, I 11, hkl 1 1 6
d = 1.238 Å, I 11, hkl 3 1 2
d = 1.230 Å, I 11, hkl 1 3 2

Cell and atoms:
```
data_Ti3GaN
_cell_length_a 4.0979
_cell_length_b 4.0628
_cell_length_c 8.4771
_cell_angle_alpha 90.00
_cell_angle_beta 90.00
_cell_angle_gamma 90.00
_space_group_name_H-M_alt 'P m m a'
_space_group_IT_number 51
loop_
_space_group_symop_operation_xyz
'x,y,z'
'-x,-y,-z'
'-x+1/2,-y,z'
'x+1/2,y,-z'
'x+1/2,-y,-z'
'-x+1/2,y,z'
'-x,y,-z'
'x,-y,z'
loop_
_atom_site_label
_atom_site_type_symbol
_atom_site_fract_x
_atom_site_fract_y
_atom_site_fract_z
Ti1 Ti 0.2500 0.0000 0.1161
Ti2 Ti 0.2500 0.0000 0.6213
Ti3 Ti 0.2500 0.5000 0.8733
Ga1 Ga 0.2500 0.5000 0.3701
N1 N 0.2500 0.0000 0.8657
```

Entry 2:
Structure and computed PXRD pattern of TaPO5 (a cell relaxed with PBE; a wavelength of 1.5418 Å).

The 12 most intense peaks (2θ from 10° to 80°), by angle:
d = 4.607 Å, I 57, hkl 1 1 0
d = 3.440 Å, I 100, hkl 1 0 1
d = 3.257 Å, I 73, hkl 2 0 0
d = 2.365 Å, I 35, hkl 2 1 1
d = 2.303 Å, I 16, hkl 2 2 0
d = 2.060 Å, I 24, hkl 3 1 0
d = 1.914 Å, I 28, hkl 3 0 1
d = 1.854 Å, I 21, hkl 1 1 2
d = 1.650 Å, I 20, hkl 3 2 1
d = 1.472 Å, I 13, hkl 4 1 1
d = 1.444 Å, I 25, hkl 3 1 2
d = 1.240 Å, I 14, hkl 4 3 1

Cell and atoms:
```
data_TaPO5
_cell_length_a 6.5147
_cell_length_b 6.5147
_cell_length_c 4.0500
_cell_angle_alpha 90.00
_cell_angle_beta 90.00
_cell_angle_gamma 90.00
_space_group_name_H-M_alt 'P 4/n m m'
_space_group_IT_number 129
loop_
_space_group_symop_operation_xyz
'x,y,z'
'-x,-y,-z'
'-y+1/2,x,z'
'y+1/2,-x,-z'
'-x+1/2,-y+1/2,z'
'x+1/2,y+1/2,-z'
'y,-x+1/2,z'
'-y,x+1/2,-z'
'x+1/2,-y,-z'
'-x+1/2,y,z'
'-y,-x,-z'
'y,x,z'
'-x,y+1/2,-z'
'x,-y+1/2,z'
'y+1/2,x+1/2,-z'
'-y+1/2,-x+1/2,z'
loop_
_atom_site_label
_atom_site_type_symbol
_atom_site_fract_x
_atom_site_fract_y
_atom_site_fract_z
Ta1 Ta 0.2500 0.2500 0.2359
P1 P 0.2500 0.7500 0.5000
O1 O 0.0554 0.7500 0.7157
O2 O 0.2500 0.2500 0.7848
```

Entry 3:
Structure and computed PXRD pattern of Er4Tm5 (a cell relaxed with PBE; a wavelength of 1.5418 Å).

The 6 most intense peaks (2θ from 10° to 80°), by angle:
d = 2.848 Å, I 100, hkl 3 1 0
d = 2.467 Å, I 51, hkl 2 0 3
d = 1.744 Å, I 36, hkl 6 0 0
d = 1.487 Å, I 43, hkl 5 1 3
d = 1.424 Å, I 12, hkl 6 2 0
d = 1.233 Å, I 6, hkl 4 0 6

Cell and atoms:
```
data_Er4Tm5
_cell_length_a 11.0314
_cell_length_b 4.9335
_cell_length_c 10.4649
_cell_angle_alpha 90.00
_cell_angle_beta 108.43
_cell_angle_gamma 90.00
_space_group_name_H-M_alt 'C 1 2/m 1'
_space_group_IT_number 12
loop_
_space_group_symop_operation_xyz
'x,y,z'
'-x,-y,-z'
'-x,y,-z'
'x,-y,z'
'x+1/2,y+1/2,z'
'-x+1/2,-y+1/2,-z'
'-x+1/2,y+1/2,-z'
'x+1/2,-y+1/2,z'
loop_
_atom_site_label
_atom_site_type_symbol
_atom_site_fract_x
_atom_site_fract_y
_atom_site_fract_z
Er1 Er 0.0000 0.0000 0.1667
Er2 Er 0.1666 0.5000 0.7220
Tm1 Tm 0.0000 0.0000 0.5000
Tm2 Tm 0.1668 0.5000 0.0556
Tm3 Tm 0.1668 0.5000 0.3890
```

Repeat the second record exactly.
Structure and computed PXRD pattern of TaPO5 (a cell relaxed with PBE; a wavelength of 1.5418 Å).

The 12 most intense peaks (2θ from 10° to 80°), by angle:
d = 4.607 Å, I 57, hkl 1 1 0
d = 3.440 Å, I 100, hkl 1 0 1
d = 3.257 Å, I 73, hkl 2 0 0
d = 2.365 Å, I 35, hkl 2 1 1
d = 2.303 Å, I 16, hkl 2 2 0
d = 2.060 Å, I 24, hkl 3 1 0
d = 1.914 Å, I 28, hkl 3 0 1
d = 1.854 Å, I 21, hkl 1 1 2
d = 1.650 Å, I 20, hkl 3 2 1
d = 1.472 Å, I 13, hkl 4 1 1
d = 1.444 Å, I 25, hkl 3 1 2
d = 1.240 Å, I 14, hkl 4 3 1

Cell and atoms:
```
data_TaPO5
_cell_length_a 6.5147
_cell_length_b 6.5147
_cell_length_c 4.0500
_cell_angle_alpha 90.00
_cell_angle_beta 90.00
_cell_angle_gamma 90.00
_space_group_name_H-M_alt 'P 4/n m m'
_space_group_IT_number 129
loop_
_space_group_symop_operation_xyz
'x,y,z'
'-x,-y,-z'
'-y+1/2,x,z'
'y+1/2,-x,-z'
'-x+1/2,-y+1/2,z'
'x+1/2,y+1/2,-z'
'y,-x+1/2,z'
'-y,x+1/2,-z'
'x+1/2,-y,-z'
'-x+1/2,y,z'
'-y,-x,-z'
'y,x,z'
'-x,y+1/2,-z'
'x,-y+1/2,z'
'y+1/2,x+1/2,-z'
'-y+1/2,-x+1/2,z'
loop_
_atom_site_label
_atom_site_type_symbol
_atom_site_fract_x
_atom_site_fract_y
_atom_site_fract_z
Ta1 Ta 0.2500 0.2500 0.2359
P1 P 0.2500 0.7500 0.5000
O1 O 0.0554 0.7500 0.7157
O2 O 0.2500 0.2500 0.7848
```

Repeat the second record exactly.
Structure and computed PXRD pattern of TaPO5 (a cell relaxed with PBE; a wavelength of 1.5418 Å).

The 12 most intense peaks (2θ from 10° to 80°), by angle:
d = 4.607 Å, I 57, hkl 1 1 0
d = 3.440 Å, I 100, hkl 1 0 1
d = 3.257 Å, I 73, hkl 2 0 0
d = 2.365 Å, I 35, hkl 2 1 1
d = 2.303 Å, I 16, hkl 2 2 0
d = 2.060 Å, I 24, hkl 3 1 0
d = 1.914 Å, I 28, hkl 3 0 1
d = 1.854 Å, I 21, hkl 1 1 2
d = 1.650 Å, I 20, hkl 3 2 1
d = 1.472 Å, I 13, hkl 4 1 1
d = 1.444 Å, I 25, hkl 3 1 2
d = 1.240 Å, I 14, hkl 4 3 1

Cell and atoms:
```
data_TaPO5
_cell_length_a 6.5147
_cell_length_b 6.5147
_cell_length_c 4.0500
_cell_angle_alpha 90.00
_cell_angle_beta 90.00
_cell_angle_gamma 90.00
_space_group_name_H-M_alt 'P 4/n m m'
_space_group_IT_number 129
loop_
_space_group_symop_operation_xyz
'x,y,z'
'-x,-y,-z'
'-y+1/2,x,z'
'y+1/2,-x,-z'
'-x+1/2,-y+1/2,z'
'x+1/2,y+1/2,-z'
'y,-x+1/2,z'
'-y,x+1/2,-z'
'x+1/2,-y,-z'
'-x+1/2,y,z'
'-y,-x,-z'
'y,x,z'
'-x,y+1/2,-z'
'x,-y+1/2,z'
'y+1/2,x+1/2,-z'
'-y+1/2,-x+1/2,z'
loop_
_atom_site_label
_atom_site_type_symbol
_atom_site_fract_x
_atom_site_fract_y
_atom_site_fract_z
Ta1 Ta 0.2500 0.2500 0.2359
P1 P 0.2500 0.7500 0.5000
O1 O 0.0554 0.7500 0.7157
O2 O 0.2500 0.2500 0.7848
```